Structure and theoretical X-ray diffraction stick pattern of C (a GGA-PBE-relaxed structure; Cu Kα (weighted mean of Kα1 and Kα2)).
Lines closer than 0.1° are merged.

Principal peaks in the range 5 to 70 degrees two-theta, by angle:
43.9 deg, d 2.063, I 100

Unit cell a=3.574 b=3.574 c=3.574 alpha=90.00 beta=90.00 gamma=90.00
Space group Fd-3m (No. 227, origin choice 2)
Asymmetric unit:
C 0.125 0.125 0.125 x8

Structure and theoretical X-ray diffraction stick pattern of C (a GGA-PBE-relaxed structure; Cu Kα (weighted mean of Kα1 and Kα2)).
Lines closer than 0.1° are merged.

Principal peaks in the range 5 to 70 degrees two-theta, by angle:
10.9 deg, d 8.150, I 6
21.8 deg, d 4.075, I 100
33.0 deg, d 2.717, I 2
42.3 deg, d 2.139, I 3
43.8 deg, d 2.067, I 9
44.5 deg, d 2.037, I 8
48.1 deg, d 1.894, I 3
54.6 deg, d 1.680, I 4

```
data_C
_cell_length_a 2.467
_cell_length_b 4.277
_cell_length_c 8.150
_cell_angle_alpha 90.00
_cell_angle_beta 90.00
_cell_angle_gamma 90.00
_symmetry_space_group_name_H-M 'C m m e'
_symmetry_Int_Tables_number 67
_symmetry_space_group_name_Hall '-C 2a 2'
loop_
_atom_site_label
_atom_site_fract_x
_atom_site_fract_y
_atom_site_fract_z
_atom_site_occupancy
C1 0.000 0.083 0.234 1
```

Structure and theoretical X-ray diffraction stick pattern of C (a GGA-PBE-relaxed structure; Cu Kα (weighted mean of Kα1 and Kα2)).
Lines closer than 0.1° are merged.

Principal peaks in the range 5 to 70 degrees two-theta, by angle:
8.8 deg, d 9.999, I 100
13.3 deg, d 6.666, I 40
17.7 deg, d 5.000, I 19
22.2 deg, d 4.000, I 10
26.7 deg, d 3.333, I 6
31.3 deg, d 2.857, I 3
35.9 deg, d 2.500, I 2
42.5 deg, d 2.125, I 2

```
data_C
_cell_length_a 2.4680
_cell_length_b 2.4680
_cell_length_c 19.9983
_cell_angle_alpha 90.00
_cell_angle_beta 90.00
_cell_angle_gamma 120.00
_symmetry_space_group_name_H-M 'P 6/m m m'
_symmetry_Int_Tables_number 191
_symmetry_space_group_name_Hall '-P 6 2'
loop_
_atom_site_label
_atom_site_fract_x
_atom_site_fract_y
_atom_site_fract_z
_atom_site_occupancy
C1 0.3333 0.6667 0.0000 1
```

Structure and theoretical X-ray diffraction stick pattern of C (a GGA-PBE-relaxed structure; Cu Kα (weighted mean of Kα1 and Kα2)).
Lines closer than 0.1° are merged.

Principal peaks in the range 5 to 70 degrees two-theta, by angle:
25.8 deg, d 3.449, I 100
36.9 deg, d 2.438, I 41
45.6 deg, d 1.991, I 5
53.1 deg, d 1.724, I 4
60.0 deg, d 1.542, I 32

```
data_C
_cell_length_a 4.877
_cell_length_b 4.877
_cell_length_c 4.877
_cell_angle_alpha 90.00
_cell_angle_beta 90.00
_cell_angle_gamma 90.00
_symmetry_space_group_name_H-M 'I m -3 m'
_symmetry_Int_Tables_number 229
_symmetry_space_group_name_Hall '-I 4 2 3'
loop_
_atom_site_label
_atom_site_fract_x
_atom_site_fract_y
_atom_site_fract_z
_atom_site_occupancy
C1 0.163 0.163 0.163 1
```

Structure and theoretical X-ray diffraction stick pattern of C (a GGA-PBE-relaxed structure; Cu Kα (weighted mean of Kα1 and Kα2)).
Lines closer than 0.1° are merged.

Principal peaks in the range 5 to 70 degrees two-theta, by angle:
24.2 deg, d 3.673, I 90
32.1 deg, d 2.791, I 100
38.5 deg, d 2.337, I 10
42.3 deg, d 2.136, I 20
42.7 deg, d 2.117, I 34
49.6 deg, d 1.836, I 10
52.6 deg, d 1.739, I 14
54.4 deg, d 1.687, I 12

```
data_C
_cell_length_a 4.876
_cell_length_b 5.584
_cell_length_c 4.273
_cell_angle_alpha 90.00
_cell_angle_beta 90.00
_cell_angle_gamma 90.00
_symmetry_space_group_name_H-M 'C m m m'
_symmetry_Int_Tables_number 65
_symmetry_space_group_name_Hall '-C 2 2'
loop_
_atom_site_label
_atom_site_fract_x
_atom_site_fract_y
_atom_site_fract_z
_atom_site_occupancy
C1 0.000 0.149 0.181 1
C2 0.250 0.250 0.343 1
```

Structure and theoretical X-ray diffraction stick pattern of C (a GGA-PBE-relaxed structure; Cu Kα (weighted mean of Kα1 and Kα2)).
Lines closer than 0.1° are merged.

Principal peaks in the range 5 to 70 degrees two-theta, by angle:
7.5 deg, d 11.854, I 100
14.9 deg, d 5.927, I 7
22.5 deg, d 3.951, I 19
30.2 deg, d 2.964, I 5
42.3 deg, d 2.135, I 1
43.5 deg, d 2.079, I 2
44.2 deg, d 2.048, I 1
45.9 deg, d 1.976, I 1

```
data_C
_cell_length_a 2.4694
_cell_length_b 2.4694
_cell_length_c 35.5631
_cell_angle_alpha 90.00
_cell_angle_beta 90.00
_cell_angle_gamma 120.00
_symmetry_space_group_name_H-M 'R -3 m'
_symmetry_Int_Tables_number 166
_symmetry_space_group_name_Hall '-R 3 2"'
loop_
_atom_site_label
_atom_site_fract_x
_atom_site_fract_y
_atom_site_fract_z
_atom_site_occupancy
C1 0.0000 0.0000 0.0508 1
C2 0.0000 0.0000 0.2825 1
```

Structure and theoretical X-ray diffraction stick pattern of C (a GGA-PBE-relaxed structure; Cu Kα (weighted mean of Kα1 and Kα2)).
Lines closer than 0.1° are merged.

Principal peaks in the range 5 to 70 degrees two-theta, by angle:
11.8 deg, d 7.499, I 100
23.7 deg, d 3.749, I 16
35.9 deg, d 2.500, I 4
42.7 deg, d 2.116, I 2
44.1 deg, d 2.056, I 1
46.2 deg, d 1.965, I 2
48.6 deg, d 1.875, I 1
52.6 deg, d 1.741, I 1

```
data_C
_cell_length_a 2.4680
_cell_length_b 2.4680
_cell_length_c 14.9976
_cell_angle_alpha 90.00
_cell_angle_beta 90.00
_cell_angle_gamma 120.00
_symmetry_space_group_name_H-M 'P 63/m m c'
_symmetry_Int_Tables_number 194
_symmetry_space_group_name_Hall '-P 6c 2c'
loop_
_atom_site_label
_atom_site_fract_x
_atom_site_fract_y
_atom_site_fract_z
_atom_site_occupancy
C1 0.0000 0.0000 0.2500 1
C2 0.3333 0.6667 0.2500 1
```

Repeat the third record exactly.
Structure and theoretical X-ray diffraction stick pattern of C (a GGA-PBE-relaxed structure; Cu Kα (weighted mean of Kα1 and Kα2)).
Lines closer than 0.1° are merged.

Principal peaks in the range 5 to 70 degrees two-theta, by angle:
8.8 deg, d 9.999, I 100
13.3 deg, d 6.666, I 40
17.7 deg, d 5.000, I 19
22.2 deg, d 4.000, I 10
26.7 deg, d 3.333, I 6
31.3 deg, d 2.857, I 3
35.9 deg, d 2.500, I 2
42.5 deg, d 2.125, I 2

```
data_C
_cell_length_a 2.4680
_cell_length_b 2.4680
_cell_length_c 19.9983
_cell_angle_alpha 90.00
_cell_angle_beta 90.00
_cell_angle_gamma 120.00
_symmetry_space_group_name_H-M 'P 6/m m m'
_symmetry_Int_Tables_number 191
_symmetry_space_group_name_Hall '-P 6 2'
loop_
_atom_site_label
_atom_site_fract_x
_atom_site_fract_y
_atom_site_fract_z
_atom_site_occupancy
C1 0.3333 0.6667 0.0000 1
```